# LiVO2
Theoretical powder XRD pattern, λ = 1.5418 Å (Cu Kα). Input: a crystal structure in the Materials Project, relaxed with GGA+U.
Intensities are scaled so that the largest is 100.

Most intense lines, 5° ≤ 2θ ≤ 70°, by angle:
2θ 17.7, I = 100
2θ 18.3, I = 74
2θ 33.9, I = 16
2θ 35.3, I = 33
2θ 41.5, I = 48
2θ 42.2, I = 46
2θ 43.4, I = 46
2θ 61.6, I = 26
2θ 62.2, I = 25
2θ 62.5, I = 16

Crystal structure
```
data_LiVO2
_space_group_name_H-M_alt 'P -1'
_space_group_IT_number 2
_cell_length_a 5.9438
_cell_length_b 5.9799
_cell_length_c 5.9807
_cell_angle_alpha 88.37
_cell_angle_beta 60.77
_cell_angle_gamma 60.70
loop_
_space_group_symop_operation_xyz
'x,y,z'
'-x,-y,-z'
loop_
_atom_site_label
_atom_site_type_symbol
_atom_site_fract_x
_atom_site_fract_y
_atom_site_fract_z
Li1 Li 0.0000 0.0000 0.0000
Li2 Li 0.2490 0.9445 0.5556
Li3 Li 0.5000 0.5000 0.5000
V1 V 0.0000 0.5000 0.0000
V2 V 0.0000 0.5000 0.5000
V3 V 0.5000 0.0000 0.0000
V4 V 0.5000 0.5000 0.0000
O1 O 0.0030 0.2546 0.2563
O2 O 0.0361 0.7107 0.2237
O3 O 0.4667 0.2751 0.7883
O4 O 0.4931 0.2426 0.2474
```


# LiLa4MnO8
Theoretical powder XRD pattern, λ = 1.5418 Å (Cu Kα). Input: a crystal structure in the Materials Project, relaxed with GGA+U.
Intensities are scaled so that the largest is 100.

Most intense lines, 5° ≤ 2θ ≤ 70°, by angle:
2θ 24.3, I = 61
2θ 27.6, I = 25
2θ 31.3, I = 100
2θ 33.1, I = 74
2θ 42.2, I = 21
2θ 43.6, I = 52
2θ 47.5, I = 38
2θ 55.3, I = 21
2θ 55.8, I = 15
2θ 58.0, I = 36

Crystal structure
```
data_LiLa4MnO8
_space_group_name_H-M_alt 'C m m m'
_space_group_IT_number 65
_space_group_name_Hall '-C 2 2'
_cell_length_a 5.4136
_cell_length_b 12.9104
_cell_length_c 5.4135
_cell_angle_alpha 90.00
_cell_angle_beta 90.00
_cell_angle_gamma 90.00
loop_
_atom_site_label
_atom_site_type_symbol
_atom_site_fract_x
_atom_site_fract_y
_atom_site_fract_z
Li1 Li 0.0000 0.0000 0.0000
La1 La 0.0000 0.1370 0.5000
La2 La 0.0000 0.3614 0.0000
Mn1 Mn 0.0000 0.5000 0.5000
O1 O 0.0000 0.1822 0.0000
O2 O 0.0000 0.3194 0.5000
O3 O 0.2478 0.5000 0.2538
```